# 1
# LaPrP2Os2N2
Simulated powder XRD pattern, λ = 1.5418 Å (Cu Kα). Input: a cell relaxed with GGA-PBE.
Neutral-atom scattering factors, no anomalous dispersion.

Structure:
```
8
Lattice="4.0673 0.0000 0.0000 0.0000 4.0673 0.0000 0.0000 0.0000 8.6736" Properties=species:S:1:pos:R:3 pbc="T T T"
La 0.0000 0.0000 0.0000
Pr 2.0336 2.0336 6.2589
P 0.0000 0.0000 4.3341
P 2.0336 2.0336 1.9735
Os 0.0000 2.0336 3.1581
Os 2.0336 0.0000 3.1581
N 0.0000 2.0336 7.4648
N 2.0336 0.0000 7.4648
```

The 10 most intense peaks (5 to 70 degrees two-theta), low angle first:
2θ 10.20, I 67
2θ 20.48, I 41
2θ 24.17, I 26
2θ 30.12, I 61
2θ 30.93, I 36
2θ 32.81, I 100
2θ 37.52, I 63
2θ 44.55, I 50
2θ 52.88, I 57
2θ 55.22, I 29


# 2
# Mo8Pb2C3N3
Simulated powder XRD pattern, λ = 1.5418 Å (Cu Kα). Input: a cell relaxed with GGA-PBE.
Neutral-atom scattering factors, no anomalous dispersion.

Structure:
```
16
Lattice="3.2367 0.0000 0.0000 -1.6183 2.8030 0.0000 0.0000 0.0000 23.3959" Properties=species:S:1:pos:R:3 pbc="T T T"
Mo 0.0000 0.0000 3.2470
Mo 0.0000 0.0000 8.2715
Mo 0.0000 0.0000 15.1243
Mo 0.0000 0.0000 20.1489
Mo 0.0000 1.8687 12.9814
Mo 0.0000 1.8687 22.1461
Mo 1.6183 0.9343 1.2498
Mo 1.6183 0.9343 10.4145
Pb 0.0000 1.8687 17.6220
Pb 1.6183 0.9343 5.7739
C 0.0000 0.0000 11.6979
C 0.0000 1.8687 9.1637
C 1.6183 0.9343 14.2322
N 0.0000 0.0000 0.0000
N 0.0000 1.8687 2.5163
N 1.6183 0.9343 20.8796
```

The 10 most intense peaks (5 to 70 degrees two-theta), low angle first:
2θ 7.56, I 22
2θ 32.16, I 59
2θ 35.51, I 71
2θ 37.40, I 100
2θ 38.48, I 35
2θ 39.60, I 56
2θ 47.71, I 15
2θ 54.13, I 23
2θ 56.90, I 46
2θ 68.89, I 25